Starting from a structure optimized by DFT (PBE), the XRD peak list of NpAlCuO6 was computed for a wavelength of 1.5418 Å.
Peak positions follow from Bragg's law for the DFT cell and can differ from measured ones.

Largest 10 diffraction maxima, sorted by position, 2θ = 15–90°:
2θ 20.08, I 29, (0 0 2); 2θ 22.28, I 100, (1 0 1); 2θ 28.39, I 76, (1 0 2); 2θ 34.76, I 44, (1 1 0); 2θ 36.51, I 32, (1 0 3); 2θ 40.47, I 30, (1 1 2); 2θ 41.68, I 23, (2 0 1); 2θ 45.47, I 21, (2 0 2); 2θ 54.66, I 42, (1 1 4); 2θ 55.36, I 20, (3 -1 1)

Atomic structure:
Lattice parameters (Å, degrees): 5.1617 5.1617 8.8450 90.00 90.00 120.00
Space group P-31c (No. 163)
Inequivalent atoms, fractional coordinates:
Np (0.3333, 0.6667, 0.2500)
Al (0.3333, 0.6667, 0.7500)
Cu (0.0000, 0.0000, 0.0000)
O (0.0159, 0.3543, 0.6335)

Starting from a structure optimized by DFT (PBE), the XRD peak list of Ba2Ga3Ag9 was computed for a wavelength of 1.5418 Å.
Peak positions follow from Bragg's law for the DFT cell and can differ from measured ones.

Largest 10 diffraction maxima, sorted by position, 2θ = 15–90°:
2θ 32.12, I 30, (2 2 -3); 2θ 32.84, I 26, (5 1 -1); 2θ 33.48, I 49, (3 1 -4); 2θ 34.38, I 99, (0 2 3); 2θ 35.37, I 44, (0 0 4); 2θ 36.42, I 62, (6 0 -2); 2θ 37.62, I 100, (3 3 -1); 2θ 39.19, I 22, (4 2 1); 2θ 40.70, I 26, (5 1 1); 2θ 66.34, I 24, (9 3 -3)

Atomic structure:
Lattice parameters (Å, degrees): 14.8099 8.2001 11.4282 90.00 117.36 90.00
Space group C2/c (No. 15)
Inequivalent atoms, fractional coordinates:
Ba (0.1710, 0.0912, 0.2416)
Ga (0.0847, 0.2339, 0.4971)
Ga (0.2500, 0.2500, 0.0000)
Ag (0.0000, 0.3727, 0.2500)
Ag (0.0595, 0.0850, 0.9153)
Ag (0.0845, 0.4204, 0.0029)
Ag (0.0992, 0.3229, 0.7423)
Ag (0.2278, 0.4186, 0.4402)

Starting from a structure optimized by DFT (PBE), the XRD peak list of DyPuPt4 was computed for a wavelength of 1.5418 Å.
Peak positions follow from Bragg's law for the DFT cell and can differ from measured ones.

Largest 10 diffraction maxima, sorted by position, 2θ = 15–90°:
2θ 19.96, I 5, (1 1 1); 2θ 32.88, I 27, (2 2 0); 2θ 38.76, I 100, (3 1 1); 2θ 40.56, I 40, (2 2 2); 2θ 58.70, I 11, (4 2 2); 2θ 62.65, I 33, (5 1 1); 2θ 68.94, I 29, (4 4 0); 2θ 78.51, I 5, (6 2 0); 2θ 82.00, I 12, (5 3 3); 2θ 83.16, I 16, (6 2 2)

Atomic structure:
Lattice parameters (Å, degrees): 7.7054 7.7054 7.7054 90.00 90.00 90.00
Space group F-43m (No. 216)
Inequivalent atoms, fractional coordinates:
Dy (0.0000, 0.0000, 0.0000)
Pu (0.2500, 0.2500, 0.7500)
Pt (0.1249, 0.1249, 0.3751)

Starting from a structure optimized by DFT (PBE), the XRD peak list of V6P3C was computed for a wavelength of 1.5418 Å.
Peak positions follow from Bragg's law for the DFT cell and can differ from measured ones.

Largest 10 diffraction maxima, sorted by position, 2θ = 15–90°:
2θ 22.36, I 26, (1 1 -1); 2θ 34.90, I 84, (2 0 1); 2θ 36.53, I 92, (4 0 -1); 2θ 37.38, I 27, (4 0 -2); 2θ 38.92, I 69, (0 2 1); 2θ 41.06, I 69, (2 2 0); 2θ 44.67, I 45, (2 0 -3); 2θ 45.62, I 100, (2 2 -2); 2θ 51.76, I 45, (2 0 2); 2θ 56.99, I 41, (4 2 0)

Atomic structure:
Lattice parameters (Å, degrees): 10.0304 5.1937 6.1940 90.00 124.59 90.00
Space group C2/m (No. 12)
Inequivalent atoms, fractional coordinates:
V (0.0827, 0.2502, 0.3581)
V (0.2306, 0.0000, 0.8394)
P (0.0000, 0.5000, 0.0000)
P (0.2450, 0.0000, 0.2439)
C (0.0000, 0.0000, 0.5000)

Starting from a structure optimized by DFT (PBE), the XRD peak list of Pm4TlInH was computed for a wavelength of 1.5418 Å.
Peak positions follow from Bragg's law for the DFT cell and can differ from measured ones.

Largest 10 diffraction maxima, sorted by position, 2θ = 15–90°:
2θ 26.82, I 22, (2 0 0); 2θ 28.76, I 98, (2 2 0); 2θ 30.92, I 35, (0 6 0); 2θ 32.06, I 36, (1 5 1); 2θ 33.98, I 100, (2 4 0); 2θ 38.30, I 68, (2 0 2); 2θ 50.01, I 37, (2 6 2); 2θ 50.78, I 20, (3 5 1); 2θ 63.50, I 21, (4 2 2); 2θ 64.69, I 17, (4 6 0)

Atomic structure:
Lattice parameters (Å, degrees): 6.6416 17.3541 6.6529 90.00 90.00 90.00
Space group Cmcm (No. 63)
Inequivalent atoms, fractional coordinates:
Pm (0.0000, 0.0706, 0.2500)
Pm (0.0000, 0.4288, 0.2500)
Pm (0.2500, 0.2500, 0.0000)
Tl (0.0000, 0.1130, 0.7500)
In (0.0000, 0.3857, 0.7500)
H (0.0000, 0.2915, 0.2500)

Starting from a structure optimized by DFT (PBE), the XRD peak list of ErTlCd6 was computed for a wavelength of 1.5418 Å.
Peak positions follow from Bragg's law for the DFT cell and can differ from measured ones.

Largest 10 diffraction maxima, sorted by position, 2θ = 15–90°:
2θ 34.23, I 34, (1 1 3); 2θ 34.47, I 100, (1 2 2); 2θ 35.15, I 16, (0 0 4); 2θ 35.85, I 13, (0 3 1); 2θ 37.18, I 28, (2 0 0); 2θ 52.10, I 10, (2 0 4); 2θ 57.52, I 11, (0 3 5); 2θ 65.30, I 15, (3 2 2); 2θ 69.38, I 11, (1 5 3); 2θ 70.51, I 12, (2 3 5)

Atomic structure:
Lattice parameters (Å, degrees): 4.8360 7.7518 10.2114 90.00 90.00 90.00
Space group Amm2 (No. 38)
Inequivalent atoms, fractional coordinates:
Er (0.0000, 0.0000, 0.0000)
Tl (0.5000, 0.0000, 0.2277)
Cd (0.0000, 0.0000, 0.4299)
Cd (0.0000, 0.1977, 0.7120)
Cd (0.5000, 0.0000, 0.8027)
Cd (0.5000, 0.2088, 0.5095)

Starting from a structure optimized by DFT (PBE), the XRD peak list of Tb4Ho10Pu was computed for a wavelength of 1.5418 Å.
Peak positions follow from Bragg's law for the DFT cell and can differ from measured ones.

Largest 10 diffraction maxima, sorted by position, 2θ = 15–90°:
2θ 28.11, I 39, (2 0 2); 2θ 31.04, I 47, (3 2 1); 2θ 31.96, I 100, (4 0 0); 2θ 32.42, I 100, (2 2 2); 2θ 34.39, I 48, (3 1 2); 2θ 35.86, I 26, (1 0 3); 2θ 41.46, I 48, (3 3 2); 2θ 45.83, I 26, (4 4 0); 2θ 67.87, I 32, (4 4 4); 2θ 68.26, I 30, (7 3 2)

Atomic structure:
Lattice parameters (Å, degrees): 11.1996 11.1996 7.7080 90.00 90.00 90.00
Space group I4/mmm (No. 139)
Inequivalent atoms, fractional coordinates:
Tb (0.2308, 0.2308, 0.0000)
Ho (0.0000, 0.2080, 0.2877)
Ho (0.0000, 0.5000, 0.2500)
Pu (0.0000, 0.0000, 0.0000)

Starting from a structure optimized by DFT (PBE), the XRD peak list of Y3SiNi2 was computed for a wavelength of 1.5418 Å.
Peak positions follow from Bragg's law for the DFT cell and can differ from measured ones.

Largest 10 diffraction maxima, sorted by position, 2θ = 15–90°:
2θ 28.10, I 31, (3 0 2); 2θ 31.63, I 43, (2 1 2); 2θ 32.18, I 48, (4 0 1); 2θ 32.37, I 29, (1 0 4); 2θ 32.66, I 75, (0 1 3); 2θ 33.56, I 100, (3 1 1); 2θ 36.26, I 67, (3 1 2); 2θ 42.00, I 29, (4 1 2); 2θ 45.83, I 60, (0 2 0); 2θ 46.37, I 28, (3 0 5)

Atomic structure:
Lattice parameters (Å, degrees): 11.4741 3.9596 11.3999 90.00 90.00 90.00
Space group Pnma (No. 62)
Inequivalent atoms, fractional coordinates:
Y (0.0633, 0.2500, 0.1218)
Y (0.1169, 0.7500, 0.5641)
Y (0.1928, 0.2500, 0.8151)
Si (0.1276, 0.2500, 0.3703)
Ni (0.0358, 0.7500, 0.3124)
Ni (0.1962, 0.7500, 0.9887)

Starting from a structure optimized by DFT (PBE), the XRD peak list of Sc4Cd2Pt was computed for a wavelength of 1.5418 Å.
Peak positions follow from Bragg's law for the DFT cell and can differ from measured ones.

Largest 10 diffraction maxima, sorted by position, 2θ = 15–90°:
2θ 21.61, I 22, (1 0 1); 2θ 26.13, I 20, (1 0 4); 2θ 28.53, I 12, (0 1 5); 2θ 37.30, I 100, (1 1 0); 2θ 39.07, I 8, (1 1 3); 2θ 51.47, I 8, (1 1 9); 2θ 53.77, I 17, (2 0 8); 2θ 60.74, I 8, (2 1 4); 2θ 67.26, I 33, (3 0 0); 2θ 79.51, I 10, (2 2 0)

Atomic structure:
Lattice parameters (Å, degrees): 4.8225 4.8225 23.6178 90.00 90.00 120.00
Space group R-3m (No. 166, hexagonal axes)
Inequivalent atoms, fractional coordinates:
Sc (0.0000, 0.0000, 0.1225)
Sc (0.0000, 0.0000, 0.3733)
Cd (0.0000, 0.0000, 0.2469)
Pt (0.0000, 0.0000, 0.0000)

Starting from a structure optimized by DFT (PBE), the XRD peak list of CeTmZnAu was computed for a wavelength of 1.5418 Å.
Peak positions follow from Bragg's law for the DFT cell and can differ from measured ones.

Largest 10 diffraction maxima, sorted by position, 2θ = 15–90°:
2θ 27.83, I 9, (1 0 1); 2θ 35.07, I 100, (1 0 2); 2θ 35.66, I 50, (1 1 0); 2θ 49.55, I 8, (0 0 4); 2θ 51.32, I 18, (2 0 0); 2θ 62.53, I 16, (1 1 4); 2θ 63.68, I 35, (2 1 2); 2θ 74.11, I 10, (2 0 4); 2θ 86.07, I 8, (3 0 2); 2θ 86.42, I 8, (3 1 0)

Atomic structure:
Lattice parameters (Å, degrees): 3.5607 3.5607 7.3591 90.00 90.00 90.00
Space group P4mm (No. 99)
Inequivalent atoms, fractional coordinates:
Ce (0.0000, 0.0000, 0.0000)
Tm (0.0000, 0.0000, 0.4955)
Zn (0.5000, 0.5000, 0.2624)
Au (0.5000, 0.5000, 0.7156)

Starting from a structure optimized by DFT (PBE), the XRD peak list of PmCuAgSn2 was computed for a wavelength of 1.5418 Å.
Peak positions follow from Bragg's law for the DFT cell and can differ from measured ones.

Largest 10 diffraction maxima, sorted by position, 2θ = 15–90°:
2θ 28.47, I 25, (1 1 0); 2θ 30.53, I 91, (1 0 3); 2θ 32.40, I 100, (1 1 2); 2θ 40.69, I 73, (2 0 0); 2θ 42.26, I 31, (1 1 4); 2θ 43.75, I 45, (1 0 5); 2θ 51.72, I 43, (2 1 3); 2θ 58.91, I 24, (2 2 0); 2θ 61.28, I 33, (2 1 5); 2θ 68.85, I 21, (3 1 2)

Atomic structure:
Lattice parameters (Å, degrees): 4.4344 4.4344 11.6961 90.00 90.00 90.00
Space group I-4m2 (No. 119)
Inequivalent atoms, fractional coordinates:
Pm (0.0000, 0.0000, 0.0000)
Cu (0.0000, 0.5000, 0.2500)
Ag (0.0000, 0.5000, 0.7500)
Sn (0.0000, 0.0000, 0.3805)

Starting from a structure optimized by DFT (PBE), the XRD peak list of TbNd4Tl was computed for a wavelength of 1.5418 Å.
Peak positions follow from Bragg's law for the DFT cell and can differ from measured ones.

Largest 10 diffraction maxima, sorted by position, 2θ = 15–90°:
2θ 28.34, I 44, (0 6 1); 2θ 28.45, I 29, (0 2 2); 2θ 29.30, I 100, (1 5 1); 2θ 31.25, I 84, (2 0 0); 2θ 31.72, I 97, (1 1 2); 2θ 35.84, I 76, (1 7 1); 2θ 42.71, I 48, (2 6 1); 2θ 55.91, I 20, (3 1 2); 2θ 58.63, I 20, (3 7 1); 2θ 59.49, I 21, (1 9 3)

Atomic structure:
Lattice parameters (Å, degrees): 5.7248 21.5434 6.5594 90.00 90.00 90.00
Space group Cmc2_1 (No. 36)
Inequivalent atoms, fractional coordinates:
Tb (0.0000, 0.1365, 0.0000)
Nd (0.0000, 0.0631, 0.4885)
Nd (0.0000, 0.2513, 0.6150)
Nd (0.0000, 0.3132, 0.1478)
Nd (0.0000, 0.4570, 0.3078)
Tl (0.0000, 0.3959, 0.7487)